Diffraction record for Mn6O5F7. The powder X-ray diffraction pattern is calculated, not measured: it uses DFT lattice parameters and positions (PBE+U) and CuKα.
Lines closer than 0.1° are merged.

Principal peaks in the range 2θ = 5–70°, in order of falling intensity:
Position (°2θ)  Rel. int.  hkl
26.08  100.0  0 2 0
26.78  87.7  2 0 -2
34.21  45.1  1 1 2
33.97  43.2  3 1 0
51.44  31.2  1 3 2
51.27  29.9  3 3 0
52.41  26.4  1 1 -4
51.88  23.5  5 1 -2
66.02  21.4  1 3 -4
65.57  19.1  5 3 -2

Atomic structure:
```
data_Mn6O5F7
_cell_length_a 9.220
_cell_length_b 6.833
_cell_length_c 7.337
_cell_angle_alpha 90.00
_cell_angle_beta 111.40
_cell_angle_gamma 90.00
_symmetry_space_group_name_H-M 'C 1 m 1'
_symmetry_Int_Tables_number 8
loop_
_symmetry_equiv_pos_as_xyz
'x,y,z'
'x,-y,z'
'x+1/2,y+1/2,z'
'x+1/2,-y+1/2,z'
loop_
_atom_site_label
_atom_site_type_symbol
_atom_site_fract_x
_atom_site_fract_y
_atom_site_fract_z
Mn1 Mn 0.000 0.000 0.000
Mn2 Mn 0.008 0.000 0.496
Mn3 Mn 0.146 0.500 0.162
Mn4 Mn 0.188 0.500 0.648
Mn5 Mn 0.331 0.000 0.328
Mn6 Mn 0.356 0.000 0.843
O1 O 0.003 0.312 0.001
O2 O 0.062 0.500 0.362
O3 O 0.105 0.000 0.296
O4 O 0.412 0.500 0.701
F1 F 0.191 0.186 0.675
F2 F 0.236 0.000 0.033
F3 F 0.258 0.500 0.957
F4 F 0.324 0.314 0.320
F5 F 0.454 0.000 0.625
```